1.
Calculated X-ray powder pattern of CuPtAu5 for Cu Kα, from DFT lattice parameters and positions (PBE).

Most intense lines, 10 to 90 degrees two-theta, low angle first:
| 2theta | intensity | index |
| --- | --- | --- |
| 34.2 | 68 | 3 1 -2 |
| 38.4 | 58 | 2 0 2 |
| 39.4 | 100 | 1 3 1 |
| 43.3 | 50 | 2 2 -3 |
| 45.3 | 48 | 4 2 -1 |
| 50.5 | 23 | 1 1 -4 |

Structural model:
a = 9.3201 Å, b = 7.8542 Å, c = 7.5423 Å
α = 90.00°, β = 111.28°, γ = 90.00°
Space group C2/c (No. 15)
Inequivalent atoms, fractional coordinates:
Cu: 0.2500 0.2500 0.0000 x4
Pt: 0.0000 0.2219 0.2500 x4
Au: 0.0000 0.4229 0.7500 x4
Au: 0.0928 0.1066 0.6421 x8
Au: 0.2086 0.4176 0.5589 x8


2.
Calculated X-ray powder pattern of Sr2Cu3AgP4 for Cu Kα, from DFT lattice parameters and positions (PBE).

Most intense lines, 10 to 90 degrees two-theta, low angle first:
| 2theta | intensity | index |
| --- | --- | --- |
| 31.0 | 29 | 1 1 1 |
| 34.4 | 61 | 1 0 3 |
| 34.9 | 100 | 1 1 2 |
| 42.4 | 63 | 2 0 0 |
| 55.7 | 29 | 2 1 3 |
| 72.7 | 22 | 3 1 2 |

Structural model:
a = 4.2636 Å, b = 4.2636 Å, c = 9.8900 Å
α = 90.00°, β = 90.00°, γ = 90.00°
Space group P-4m2 (No. 115)
Inequivalent atoms, fractional coordinates:
Sr: 0.0000 0.5000 0.2433 x2
Cu: 0.0000 0.5000 0.8846 x2
Cu: 0.5000 0.5000 0.5000 x1
Ag: 0.0000 0.0000 0.5000 x1
P: 0.0000 0.0000 0.0000 x1
P: 0.0000 0.5000 0.6434 x2
P: 0.5000 0.5000 0.0000 x1


3.
Calculated X-ray powder pattern of Mn3RuPt12 for Cu Kα, from DFT lattice parameters and positions (PBE).

Most intense lines, 10 to 90 degrees two-theta, low angle first:
| 2theta | intensity | index |
| --- | --- | --- |
| 39.7 | 100 | 1 1 4 |
| 46.1 | 16 | 0 0 8 |
| 46.2 | 33 | 2 0 0 |
| 67.3 | 21 | 2 0 8 |
| 80.9 | 13 | 1 1 12 |
| 81.2 | 26 | 3 1 4 |

Structural model:
a = 3.9295 Å, b = 3.9295 Å, c = 15.7653 Å
α = 90.00°, β = 90.00°, γ = 90.00°
Space group P4/mmm (No. 123)
Inequivalent atoms, fractional coordinates:
Mn: 0.0000 0.0000 0.0000 x1
Mn: 0.0000 0.0000 0.2490 x2
Ru: 0.0000 0.0000 0.5000 x1
Pt: 0.0000 0.5000 0.1247 x4
Pt: 0.0000 0.5000 0.3746 x4
Pt: 0.5000 0.5000 0.0000 x1
Pt: 0.5000 0.5000 0.2495 x2
Pt: 0.5000 0.5000 0.5000 x1